# 1
This entry pairs a crystal structure of Sr3N with its computed powder diffractogram. Radiation: Cu Kα, 1.54184 Å. Structure: the GGA-PBE geometry in Alexandria.
Lines closer than 0.1° are merged.

Structural model:
a b c (Å): 10.411 10.411 3.540
angles (deg): 90.00 90.00 120.00
Sites, in units of the cell vectors:
Sr 0.182 0.461 0.250
Sr 0.279 0.818 0.250
Sr 0.461 0.279 0.750
Sr 0.539 0.721 0.250
Sr 0.721 0.182 0.750
Sr 0.818 0.539 0.750
N 0.333 0.667 0.750
N 0.667 0.333 0.250

Main lines, low angle first (2θ = 10–90°):
Position (°2θ), d (Å), I/Imax
19.69, 4.508, 194
26.15, 3.408, 1000
27.06, 3.295, 637
32.15, 2.784, 180
36.60, 2.455, 203
39.33, 2.291, 337
43.14, 2.097, 250
44.35, 2.042, 444
58.78, 1.571, 207
63.14, 1.473, 183

=====

# 2
This entry pairs a crystal structure of Fe11Si5 with its computed powder diffractogram. Radiation: Cu Kα, 1.54184 Å. Structure: the GGA-PBE geometry in Alexandria.
Lines closer than 0.1° are merged.

Structural model:
a b c (Å): 5.566 5.566 5.566
angles (deg): 90.00 90.00 90.00
Sites, in units of the cell vectors:
Fe 0.000 0.000 0.500
Fe 0.000 0.500 0.000
Fe 0.253 0.253 0.253
Fe 0.253 0.253 0.747
Fe 0.253 0.747 0.253
Fe 0.253 0.747 0.747
Fe 0.500 0.000 0.000
Fe 0.747 0.253 0.253
Fe 0.747 0.253 0.747
Fe 0.747 0.747 0.253
Fe 0.747 0.747 0.747
Si 0.000 0.000 0.000
Si 0.000 0.500 0.500
Si 0.500 0.000 0.500
Si 0.500 0.500 0.000
Si 0.500 0.500 0.500

Main lines, low angle first (2θ = 10–90°):
Position (°2θ), d (Å), I/Imax
22.59, 3.935, 10
27.76, 3.213, 37
32.17, 2.783, 53
36.09, 2.489, 10
46.13, 1.968, 1000
54.70, 1.678, 15
57.35, 1.607, 12
67.29, 1.391, 148
76.55, 1.244, 12
85.47, 1.136, 296

=====

# 3
This entry pairs a crystal structure of CaLa2InFe with its computed powder diffractogram. Radiation: Cu Kα, 1.54184 Å. Structure: the GGA-PBE geometry in Alexandria.
Lines closer than 0.1° are merged.

Structural model:
a b c (Å): 5.115 5.115 5.623
angles (deg): 90.00 90.00 90.00
Sites, in units of the cell vectors:
Ca 0.000 0.000 0.000
La 0.000 0.500 0.500
La 0.500 0.000 0.500
In 0.500 0.500 0.000
Fe 0.000 0.000 0.500

Main lines, low angle first (2θ = 10–90°):
Position (°2θ), d (Å), I/Imax
15.76, 5.623, 238
23.51, 3.784, 224
29.36, 3.042, 1000
31.83, 2.812, 352
35.09, 2.557, 540
48.09, 1.892, 434
50.47, 1.808, 187
55.19, 1.664, 167
59.46, 1.554, 266
60.91, 1.521, 209

=====

# 4
This entry pairs a crystal structure of La4Te3S with its computed powder diffractogram. Radiation: Cu Kα, 1.54184 Å. Structure: the GGA-PBE geometry in Alexandria.
Lines closer than 0.1° are merged.

Structural model:
a b c (Å): 15.175 15.175 15.175
angles (deg): 16.78 16.78 16.78
Sites, in units of the cell vectors:
La 0.124 0.124 0.124
La 0.367 0.367 0.367
La 0.633 0.633 0.633
La 0.876 0.876 0.876
Te 0.254 0.254 0.254
Te 0.500 0.500 0.500
Te 0.746 0.746 0.746
S 0.000 0.000 0.000

Main lines, low angle first (2θ = 10–90°):
Position (°2θ), d (Å), I/Imax
28.19, 3.166, 1000
34.97, 2.565, 81
39.82, 2.264, 327
40.76, 2.214, 390
50.29, 1.814, 199
58.30, 1.583, 106
60.19, 1.538, 73
65.32, 1.428, 109
66.65, 1.403, 169
73.56, 1.288, 105

=====

# 5
This entry pairs a crystal structure of LiAcCN2 with its computed powder diffractogram. Radiation: Cu Kα, 1.54184 Å. Structure: the GGA-PBE geometry in Alexandria.
Lines closer than 0.1° are merged.

Structural model:
a b c (Å): 6.190 3.855 6.255
angles (deg): 90.00 101.52 90.00
Sites, in units of the cell vectors:
Li 0.000 0.030 0.250
Li 0.000 0.970 0.750
Ac 0.500 0.261 0.750
Ac 0.500 0.739 0.250
C 0.000 0.500 0.000
C 0.000 0.500 0.500
N 0.159 0.294 0.019
N 0.159 0.706 0.519
N 0.841 0.294 0.481
N 0.841 0.706 0.981

Main lines, low angle first (2θ = 10–90°):
Position (°2θ), d (Å), I/Imax
14.60, 6.066, 1000
27.33, 3.263, 652
29.14, 3.064, 206
29.45, 3.033, 294
29.67, 3.011, 453
29.93, 2.986, 342
32.51, 2.754, 542
35.35, 2.539, 200
38.31, 2.350, 345
50.54, 1.806, 263

=====

# 6
This entry pairs a crystal structure of Ba2Tl7InPb2 with its computed powder diffractogram. Radiation: Cu Kα, 1.54184 Å. Structure: the GGA-PBE geometry in Alexandria.
Lines closer than 0.1° are merged.

Structural model:
a b c (Å): 4.958 4.958 17.010
angles (deg): 94.78 94.78 88.66
Sites, in units of the cell vectors:
Ba 0.098 0.098 0.336
Ba 0.902 0.902 0.664
Tl 0.042 0.544 0.148
Tl 0.303 0.303 0.536
Tl 0.456 0.958 0.852
Tl 0.500 0.500 0.000
Tl 0.544 0.042 0.148
Tl 0.697 0.697 0.464
Tl 0.958 0.456 0.852
In 0.000 0.000 0.000
Pb 0.421 0.421 0.722
Pb 0.579 0.579 0.278

Main lines, low angle first (2θ = 10–90°):
Position (°2θ), d (Å), I/Imax
26.25, 3.394, 474
28.27, 3.156, 272
28.91, 3.088, 298
30.29, 2.951, 534
31.11, 2.875, 271
31.49, 2.841, 448
33.45, 2.679, 534
36.33, 2.473, 1000
50.68, 1.801, 212
52.85, 1.732, 207

=====

# 7
This entry pairs a crystal structure of CoBH with its computed powder diffractogram. Radiation: Cu Kα, 1.54184 Å. Structure: the GGA-PBE geometry in Alexandria.
Lines closer than 0.1° are merged.

Structural model:
a b c (Å): 7.570 7.570 7.570
angles (deg): 160.99 160.99 27.00
Sites, in units of the cell vectors:
Co 0.145 0.145 0.000
Co 0.855 0.855 0.000
B 0.283 0.283 0.000
B 0.717 0.717 0.000
H 0.407 0.407 0.000
H 0.593 0.593 0.000

Main lines, low angle first (2θ = 10–90°):
Position (°2θ), d (Å), I/Imax
12.02, 7.361, 1000
24.18, 3.680, 818
36.46, 2.464, 556
36.62, 2.454, 158
40.50, 2.227, 890
51.72, 1.767, 374
57.25, 1.609, 524
57.88, 1.593, 270
65.03, 1.434, 109
87.56, 1.114, 125

=====

# 8
This entry pairs a crystal structure of BaCd4Ga4 with its computed powder diffractogram. Radiation: Cu Kα, 1.54184 Å. Structure: the GGA-PBE geometry in Alexandria.
Lines closer than 0.1° are merged.

Structural model:
a b c (Å): 6.457 6.457 10.461
angles (deg): 90.00 90.00 90.00
Sites, in units of the cell vectors:
Ba 0.250 0.750 0.250
Ba 0.750 0.250 0.750
Cd 0.021 0.250 0.058
Cd 0.250 0.021 0.558
Cd 0.250 0.479 0.558
Cd 0.479 0.250 0.058
Cd 0.521 0.750 0.942
Cd 0.750 0.521 0.442
Cd 0.750 0.979 0.442
Cd 0.979 0.750 0.942
Ga 0.045 0.250 0.337
Ga 0.250 0.045 0.837
Ga 0.250 0.455 0.837
Ga 0.455 0.250 0.337
Ga 0.545 0.750 0.663
Ga 0.750 0.545 0.163
Ga 0.750 0.955 0.163
Ga 0.955 0.750 0.663

Main lines, low angle first (2θ = 10–90°):
Position (°2θ), d (Å), I/Imax
28.94, 3.085, 400
29.10, 3.068, 490
32.16, 2.784, 1000
37.09, 2.424, 440
37.98, 2.369, 556
39.47, 2.283, 339
43.24, 2.092, 199
49.78, 1.832, 200
57.05, 1.614, 210
62.89, 1.478, 261

=====

# 9
This entry pairs a crystal structure of Cs2I4O11 with its computed powder diffractogram. Radiation: Cu Kα, 1.54184 Å. Structure: the GGA-PBE geometry in Alexandria.
Lines closer than 0.1° are merged.

Structural model:
a b c (Å): 7.428 7.428 14.017
angles (deg): 90.00 90.00 120.00
Sites, in units of the cell vectors:
Cs 0.333 0.667 0.000
Cs 0.333 0.667 0.373
Cs 0.667 0.333 0.500
Cs 0.667 0.333 0.873
I 0.000 0.000 0.424
I 0.000 0.000 0.924
I 0.145 0.811 0.676
I 0.189 0.333 0.676
I 0.333 0.145 0.176
I 0.667 0.855 0.676
I 0.811 0.667 0.176
I 0.855 0.189 0.176
O 0.000 0.000 0.169
O 0.000 0.000 0.669
O 0.056 0.667 0.183
O 0.089 0.837 0.864
O 0.115 0.766 0.548
O 0.163 0.252 0.864
O 0.234 0.349 0.548
O 0.252 0.089 0.364
O 0.333 0.389 0.183
O 0.333 0.667 0.696
O 0.349 0.115 0.048
O 0.389 0.056 0.683
O 0.611 0.944 0.183
O 0.651 0.885 0.548
O 0.667 0.333 0.196
O 0.667 0.611 0.683
O 0.748 0.911 0.864
O 0.766 0.651 0.048
O 0.837 0.748 0.364
O 0.885 0.234 0.048
O 0.911 0.163 0.364
O 0.944 0.333 0.683

Main lines, low angle first (2θ = 10–90°):
Position (°2θ), d (Å), I/Imax
23.53, 3.780, 754
23.96, 3.714, 233
25.42, 3.504, 326
27.17, 3.282, 1000
28.47, 3.135, 888
29.02, 3.077, 184
41.89, 2.157, 344
42.79, 2.113, 419
48.14, 1.890, 188
49.06, 1.857, 341

=====

# 10
This entry pairs a crystal structure of TlInHg3Bi with its computed powder diffractogram. Radiation: Cu Kα, 1.54184 Å. Structure: the GGA-PBE geometry in Alexandria.
Lines closer than 0.1° are merged.

Structural model:
a b c (Å): 8.359 4.469 9.535
angles (deg): 90.00 91.70 90.00
Sites, in units of the cell vectors:
Tl 0.205 0.250 0.246
Tl 0.795 0.750 0.754
In 0.311 0.750 0.923
In 0.689 0.250 0.077
Hg 0.062 0.250 0.906
Hg 0.384 0.750 0.555
Hg 0.491 0.750 0.215
Hg 0.509 0.250 0.785
Hg 0.616 0.250 0.445
Hg 0.938 0.750 0.094
Bi 0.099 0.250 0.582
Bi 0.901 0.750 0.418

Main lines, low angle first (2θ = 10–90°):
Position (°2θ), d (Å), I/Imax
29.25, 3.053, 1000
30.40, 2.941, 380
30.96, 2.888, 550
34.56, 2.595, 236
36.07, 2.490, 485
36.58, 2.457, 401
40.36, 2.235, 387
44.69, 2.028, 155
51.36, 1.779, 180
61.78, 1.502, 175

=====

# 11
This entry pairs a crystal structure of Dy2Ho2Sc7 with its computed powder diffractogram. Radiation: Cu Kα, 1.54184 Å. Structure: the GGA-PBE geometry in Alexandria.
Lines closer than 0.1° are merged.

Structural model:
a b c (Å): 6.360 6.360 9.168
angles (deg): 99.08 99.08 121.57
Sites, in units of the cell vectors:
Dy 0.210 0.790 0.000
Dy 0.790 0.210 0.000
Ho 0.336 0.336 0.294
Ho 0.664 0.664 0.706
Sc 0.000 0.000 0.500
Sc 0.058 0.480 0.657
Sc 0.254 0.254 0.883
Sc 0.480 0.058 0.657
Sc 0.520 0.942 0.343
Sc 0.746 0.746 0.117
Sc 0.942 0.520 0.343

Main lines, low angle first (2θ = 10–90°):
Position (°2θ), d (Å), I/Imax
17.21, 5.152, 541
18.98, 4.676, 467
26.07, 3.418, 645
30.39, 2.941, 498
30.77, 2.906, 788
30.92, 2.892, 443
32.02, 2.795, 573
32.25, 2.776, 810
33.06, 2.709, 1000
38.57, 2.334, 460

=====

# 12
This entry pairs a crystal structure of Nd4Sm3Y8 with its computed powder diffractogram. Radiation: Cu Kα, 1.54184 Å. Structure: the GGA-PBE geometry in Alexandria.
Lines closer than 0.1° are merged.

Structural model:
a b c (Å): 12.589 12.589 12.589
angles (deg): 32.49 32.49 32.49
Sites, in units of the cell vectors:
Nd 0.000 0.000 0.000
Nd 0.164 0.164 0.164
Nd 0.500 0.500 0.500
Nd 0.836 0.836 0.836
Sm 0.000 0.500 0.500
Sm 0.500 0.000 0.500
Sm 0.500 0.500 0.000
Y 0.250 0.250 0.749
Y 0.250 0.749 0.250
Y 0.251 0.750 0.750
Y 0.254 0.254 0.254
Y 0.746 0.746 0.746
Y 0.749 0.250 0.250
Y 0.750 0.251 0.750
Y 0.750 0.750 0.251

Main lines, low angle first (2θ = 10–90°):
Position (°2θ), d (Å), I/Imax
26.39, 3.377, 318
29.43, 3.035, 483
30.00, 2.978, 646
30.98, 2.886, 1000
34.03, 2.635, 210
35.64, 2.519, 736
50.65, 1.802, 224
51.93, 1.761, 419
61.14, 1.516, 499
85.37, 1.137, 205